# CsCrI2
Computed powder diffractogram, a wavelength of 1.5418 Å. Input: a structure optimized by DFT (PBE).

Cell and atoms:
a b c (Å): 8.1109 8.1109 6.5150
angles (deg): 90.00 90.00 114.72
Atoms (fractional coordinates):
Cs 0.1596 0.8404 0.7500
Cs 0.8404 0.1596 0.2500
Cr 0.5000 0.5000 0.0000
Cr 0.5000 0.5000 0.5000
I 0.1702 0.3588 0.7500
I 0.3588 0.1702 0.2500
I 0.6412 0.8298 0.7500
I 0.8298 0.6412 0.2500

Largest 6 diffraction maxima, by angle, 2θ = 10–80°:
- 18.18°, I 351
- 22.01°, I 241
- 27.38°, I 231
- 27.82°, I 1000
- 29.53°, I 268
- 48.67°, I 210